# Tb3Pm2Mg2
Computed powder diffraction line list, a wavelength of 1.5418 Å. Input: DFT lattice parameters and positions (PBE).
Kinematic intensities with the Lorentz-polarization factor, no thermal factor.

Structural model:
```
data_Tb3Pm2Mg2
_chemical_formula_sum 'Tb6 Pm4 Mg4'
_cell_length_a 3.555
_cell_length_b 34.261
_cell_length_c 3.520
_cell_angle_alpha 90.00
_cell_angle_beta 90.00
_cell_angle_gamma 90.00
_symmetry_space_group_name_H-M 'C m m m'
_symmetry_Int_Tables_number 65
_symmetry_space_group_name_Hall '-C 2 2'
loop_
_atom_site_label
_atom_site_fract_x
_atom_site_fract_y
_atom_site_fract_z
_atom_site_occupancy
Tb1 0.000 0.000 0.000 1
Tb2 0.000 0.427 0.500 1
Pm1 0.000 0.295 0.500 1
Mg1 0.000 0.138 0.000 1
```

The 12 most intense peaks (2θ = 10–90°), by angle:
10.33 deg, I = 22.0, (0 4 0); 25.30 deg, I = 21.5, (0 0 1); 26.26 deg, I = 18.3, (1 3 0); 29.82 deg, I = 33.9, (0 6 1); 31.09 deg, I = 100.0, (1 7 0); 32.94 deg, I = 59.2, (0 8 1); 36.00 deg, I = 66.5, (1 1 1); 36.73 deg, I = 26.7, (0 14 0); 40.50 deg, I = 22.0, (1 7 1); 54.40 deg, I = 34.7, (1 15 1); 61.79 deg, I = 28.1, (1 7 2); 62.42 deg, I = 18.8, (2 8 1)